[1]
Simulated powder XRD pattern
Compound: Nb4VO12
Radiation: copper Kα
Structure: a structure optimized by DFT (PBE+U)
Intensities are scaled so that the largest is 100.

Most intense lines, 10° ≤ 2θ ≤ 90°, in order of falling intensity:
| d [Å] | I/Imax | (hkl) |
| --- | --- | --- |
| 3.806 | 100 | 1 -1 0 |
| 3.873 | 97 | 0 0 2 |
| 3.825 | 94 | 1 1 0 |
| 2.816 | 85 | 1 1 2 |
| 2.640 | 58 | 1 -1 2 |
| 2.792 | 40 | -1 1 2 |

Structural model:
```
data_Nb4VO12
_chemical_formula_sum 'Nb4 V1 O12'
_cell_length_a 5.183
_cell_length_b 5.660
_cell_length_c 7.776
_cell_angle_alpha 84.92
_cell_angle_beta 89.60
_cell_angle_gamma 89.67
_space_group_name_H-M_alt 'P 1'
_space_group_IT_number 1
_space_group_name_Hall 'P 1'
loop_
_atom_site_label
_atom_site_type_symbol
_atom_site_fract_x
_atom_site_fract_y
_atom_site_fract_z
_atom_site_occupancy
Nb1 Nb 0.000 0.000 0.000 1
Nb2 Nb 0.025 0.020 0.472 1
Nb3 Nb 0.494 0.488 0.001 1
Nb4 Nb 0.526 0.488 0.482 1
V1 V 0.532 0.892 0.701 1
O1 O 0.122 0.018 0.242 1
O2 O 0.204 0.331 0.944 1
O3 O 0.255 0.756 0.559 1
O4 O 0.324 0.856 0.907 1
O5 O 0.349 0.198 0.576 1
O6 O 0.408 0.527 0.254 1
O7 O 0.610 0.564 0.750 1
O8 O 0.713 0.226 0.040 1
O9 O 0.722 0.828 0.467 1
O10 O 0.813 0.730 0.048 1
O11 O 0.842 0.023 0.742 1
O12 O 0.845 0.338 0.449 1
```

[2]
Simulated powder XRD pattern
Compound: Li3VBPO7
Radiation: copper Kα
Structure: a structure optimized by DFT (PBE+U)
Intensities are scaled so that the largest is 100.

Most intense lines, 10° ≤ 2θ ≤ 90°, in order of falling intensity:
| d [Å] | I/Imax | (hkl) |
| --- | --- | --- |
| 3.206 | 100 | 0 2 0 |
| 8.445 | 89 | 0 0 1 |
| 4.150 | 54 | 1 0 1 |
| 4.522 | 44 | 1 0 -1 |
| 3.402 | 41 | 1 0 -2 |
| 5.107 | 34 | 0 1 1 |

Structural model:
```
data_Li3VBPO7
_chemical_formula_sum 'Li6 V2 B2 P2 O14'
_cell_length_a 5.058
_cell_length_b 6.413
_cell_length_c 8.485
_cell_angle_alpha 90.00
_cell_angle_beta 95.58
_cell_angle_gamma 90.00
_space_group_name_H-M_alt 'P 1 21/m 1'
_space_group_IT_number 11
_space_group_name_Hall '-P 2yb'
loop_
_atom_site_label
_atom_site_type_symbol
_atom_site_fract_x
_atom_site_fract_y
_atom_site_fract_z
_atom_site_occupancy
Li1 Li 0.244 0.250 0.092 1
Li2 Li 0.255 0.004 0.767 1
V1 V 0.210 0.750 0.323 1
B1 B 0.286 0.750 0.042 1
P1 P 0.268 0.250 0.418 1
O1 O 0.028 0.750 0.088 1
O2 O 0.140 0.250 0.576 1
O3 O 0.172 0.062 0.310 1
O4 O 0.358 0.750 0.893 1
O5 O 0.427 0.750 0.547 1
O6 O 0.482 0.750 0.175 1
```

[3]
Simulated powder XRD pattern
Compound: Li9Mn2Co5O16
Radiation: copper Kα
Structure: a structure optimized by DFT (PBE+U)
Intensities are scaled so that the largest is 100.

Most intense lines, 10° ≤ 2θ ≤ 90°, in order of falling intensity:
| d [Å] | I/Imax | (hkl) |
| --- | --- | --- |
| 4.857 | 100 | 1 0 -1 |
| 2.076 | 55 | 1 2 -3 |
| 2.087 | 28 | 2 0 2 |
| 2.493 | 26 | 0 2 2 |
| 1.462 | 22 | 0 4 0 |
| 1.481 | 15 | 3 2 -1 |

Structural model:
```
data_Li9Mn2Co5O16
_chemical_formula_sum 'Li9 Mn2 Co5 O16'
_cell_length_a 5.154
_cell_length_b 5.847
_cell_length_c 9.710
_cell_angle_alpha 90.00
_cell_angle_beta 100.44
_cell_angle_gamma 90.00
_space_group_name_H-M_alt 'P 1 2/m 1'
_space_group_IT_number 10
_space_group_name_Hall '-P 2y'
loop_
_atom_site_label
_atom_site_type_symbol
_atom_site_fract_x
_atom_site_fract_y
_atom_site_fract_z
_atom_site_occupancy
Li1 Li 0.000 0.000 0.000 1
Li2 Li 0.000 0.244 0.500 1
Li3 Li 0.244 0.000 0.758 1
Li4 Li 0.258 0.500 0.755 1
Li5 Li 0.500 0.244 0.000 1
Mn1 Mn 0.000 0.500 0.000 1
Mn2 Mn 0.500 0.500 0.500 1
Co1 Co 0.241 0.242 0.243 1
Co2 Co 0.500 0.000 0.500 1
O1 O 0.107 0.267 0.877 1
O2 O 0.136 0.000 0.372 1
O3 O 0.161 0.500 0.373 1
O4 O 0.346 0.500 0.118 1
O5 O 0.377 0.000 0.142 1
O6 O 0.391 0.259 0.615 1
```

[4]
Simulated powder XRD pattern
Compound: BaSr2Mn2Si4O14
Radiation: copper Kα
Structure: a structure optimized by DFT (PBE+U)
Intensities are scaled so that the largest is 100.

Most intense lines, 10° ≤ 2θ ≤ 90°, in order of falling intensity:
| d [Å] | I/Imax | (hkl) |
| --- | --- | --- |
| 2.931 | 100 | 2 2 -1 |
| 2.861 | 94 | 2 2 1 |
| 3.345 | 88 | 3 1 -1 |
| 3.194 | 81 | 3 1 1 |
| 3.105 | 47 | 4 0 -1 |
| 1.966 | 43 | 5 3 0 |

Structural model:
```
data_BaSr2Mn2Si4O14
_chemical_formula_sum 'Ba2 Sr4 Mn4 Si8 O28'
_cell_length_a 14.839
_cell_length_b 7.875
_cell_length_c 5.236
_cell_angle_alpha 90.00
_cell_angle_beta 93.21
_cell_angle_gamma 90.00
_space_group_name_H-M_alt 'C 1 2 1'
_space_group_IT_number 5
_space_group_name_Hall 'C 2y'
loop_
_atom_site_label
_atom_site_type_symbol
_atom_site_fract_x
_atom_site_fract_y
_atom_site_fract_z
_atom_site_occupancy
Ba1 Ba 0.000 0.000 0.000 1
Sr1 Sr 0.204 0.322 0.981 1
Mn1 Mn 0.000 0.334 0.500 1
Mn2 Mn 0.000 0.528 0.000 1
Si1 Si 0.131 0.651 0.461 1
Si2 Si 0.174 0.028 0.513 1
O1 O 0.060 0.350 0.192 1
O2 O 0.063 0.704 0.220 1
O3 O 0.097 0.142 0.635 1
O4 O 0.099 0.512 0.668 1
O5 O 0.163 0.828 0.622 1
O6 O 0.184 0.033 0.209 1
O7 O 0.228 0.586 0.330 1
```

[5]
Simulated powder XRD pattern
Compound: Ca6FeCo3O12
Radiation: copper Kα
Structure: a structure optimized by DFT (PBE+U)
Intensities are scaled so that the largest is 100.

Most intense lines, 10° ≤ 2θ ≤ 90°, in order of falling intensity:
| d [Å] | I/Imax | (hkl) |
| --- | --- | --- |
| 2.646 | 100 | 2 0 -2 |
| 4.583 | 71 | 0 2 0 |
| 1.974 | 51 | 4 2 0 |
| 1.916 | 43 | 2 4 1 |
| 2.779 | 40 | 3 1 0 |
| 2.188 | 35 | 2 2 2 |

Structural model:
```
data_Ca6FeCo3O12
_chemical_formula_sum 'Ca12 Fe2 Co6 O24'
_cell_length_a 8.761
_cell_length_b 9.173
_cell_length_c 6.342
_cell_angle_alpha 90.00
_cell_angle_beta 93.61
_cell_angle_gamma 90.00
_space_group_name_H-M_alt 'C 1 2 1'
_space_group_IT_number 5
_space_group_name_Hall 'C 2y'
loop_
_atom_site_label
_atom_site_type_symbol
_atom_site_fract_x
_atom_site_fract_y
_atom_site_fract_z
_atom_site_occupancy
Ca1 Ca 0.000 0.000 0.000 1
Ca2 Ca 0.000 0.240 0.500 1
Ca3 Ca 0.183 0.554 0.631 1
Ca4 Ca 0.184 0.685 0.131 1
Fe1 Fe 0.000 0.870 0.500 1
Co1 Co 0.000 0.366 0.000 1
Co2 Co 0.250 0.370 0.250 1
O1 O 0.059 0.770 0.788 1
O2 O 0.061 0.471 0.288 1
O3 O 0.123 0.034 0.658 1
O4 O 0.123 0.207 0.157 1
O5 O 0.222 0.435 0.962 1
O6 O 0.224 0.805 0.459 1
```

[6]
Simulated powder XRD pattern
Compound: MoH2O4
Radiation: copper Kα
Structure: a structure optimized by DFT (PBE+U)
Intensities are scaled so that the largest is 100.

Most intense lines, 10° ≤ 2θ ≤ 90°, in order of falling intensity:
| d [Å] | I/Imax | (hkl) |
| --- | --- | --- |
| 5.698 | 100 | 0 1 1 |
| 5.895 | 42 | 0 1 0 |
| 3.318 | 40 | 1 0 1 |
| 3.374 | 30 | 1 1 0 |
| 3.510 | 30 | 0 0 2 |
| 3.126 | 24 | 1 0 -1 |

Structural model:
```
data_MoH2O4
_chemical_formula_sum 'Mo2 H4 O8'
_cell_length_a 3.730
_cell_length_b 6.542
_cell_length_c 7.678
_cell_angle_alpha 66.46
_cell_angle_beta 80.97
_cell_angle_gamma 76.74
_space_group_name_H-M_alt 'P -1'
_space_group_IT_number 2
_space_group_name_Hall '-P 1'
loop_
_atom_site_label
_atom_site_type_symbol
_atom_site_fract_x
_atom_site_fract_y
_atom_site_fract_z
_atom_site_occupancy
Mo1 Mo 0.248 0.344 0.204 1
H1 H 0.032 0.282 0.671 1
H2 H 0.243 0.832 0.160 1
O1 O 0.095 0.711 0.207 1
O2 O 0.192 0.257 0.449 1
O3 O 0.264 0.565 0.874 1
O4 O 0.364 0.089 0.172 1
```

[7]
Simulated powder XRD pattern
Compound: CaFeF5
Radiation: copper Kα
Structure: a structure optimized by DFT (PBE+U)
Intensities are scaled so that the largest is 100.

Most intense lines, 10° ≤ 2θ ≤ 90°, in order of falling intensity:
| d [Å] | I/Imax | (hkl) |
| --- | --- | --- |
| 4.128 | 100 | 2 0 0 |
| 3.342 | 98 | 1 1 -2 |
| 3.287 | 44 | 0 2 0 |
| 2.064 | 34 | 4 0 0 |
| 1.908 | 31 | 1 3 -2 |
| 1.941 | 26 | 2 0 -4 |

Structural model:
```
data_CaFeF5
_chemical_formula_sum 'Ca4 Fe4 F20'
_cell_length_a 9.139
_cell_length_b 6.574
_cell_length_c 7.762
_cell_angle_alpha 90.00
_cell_angle_beta 115.41
_cell_angle_gamma 90.00
_space_group_name_H-M_alt 'C 1 2/c 1'
_space_group_IT_number 15
_space_group_name_Hall '-C 2yc'
loop_
_atom_site_label
_atom_site_type_symbol
_atom_site_fract_x
_atom_site_fract_y
_atom_site_fract_z
_atom_site_occupancy
Ca1 Ca 0.000 0.045 0.250 1
Fe1 Fe 0.000 0.500 0.000 1
F1 F 0.000 0.413 0.250 1
F2 F 0.012 0.206 0.968 1
F3 F 0.231 0.481 0.621 1
```

[8]
Simulated powder XRD pattern
Compound: NiRh2O4
Radiation: copper Kα
Structure: a structure optimized by DFT (PBE+U)
Intensities are scaled so that the largest is 100.

Most intense lines, 10° ≤ 2θ ≤ 90°, in order of falling intensity:
| d [Å] | I/Imax | (hkl) |
| --- | --- | --- |
| 2.613 | 100 | 2 1 1 |
| 4.972 | 53 | 1 0 1 |
| 2.564 | 50 | 1 0 3 |
| 1.516 | 44 | 2 2 4 |
| 2.486 | 43 | 2 0 2 |
| 1.670 | 31 | 3 2 1 |

Structural model:
```
data_NiRh2O4
_chemical_formula_sum 'Ni4 Rh8 O16'
_cell_length_a 6.144
_cell_length_b 6.144
_cell_length_c 8.463
_cell_angle_alpha 90.00
_cell_angle_beta 90.00
_cell_angle_gamma 90.00
_space_group_name_H-M_alt 'I 41/a m d'
_space_group_IT_number 141
loop_
_space_group_symop_operation_xyz
'x,y,z'
'-x,-y,-z'
'-y+1/4,x+3/4,z+1/4'
'y+1/4,-x+3/4,-z+1/4'
'-x+1/2,-y,z+1/2'
'x+1/2,y,-z+1/2'
'y+1/4,-x+1/4,z+3/4'
'-y+1/4,x+1/4,-z+3/4'
'x,-y,-z'
'-x,y,z'
'-y+1/4,-x+1/4,-z+3/4'
'y+1/4,x+1/4,z+3/4'
'-x+1/2,y,-z+1/2'
'x+1/2,-y,z+1/2'
'y+1/4,x+3/4,-z+1/4'
'-y+1/4,-x+3/4,z+1/4'
'x+1/2,y+1/2,z+1/2'
'-x+1/2,-y+1/2,-z+1/2'
'-y+3/4,x+1/4,z+3/4'
'y+3/4,-x+1/4,-z+3/4'
'-x,-y+1/2,z'
'x,y+1/2,-z'
'y+3/4,-x+3/4,z+1/4'
'-y+3/4,x+3/4,-z+1/4'
'x+1/2,-y+1/2,-z+1/2'
'-x+1/2,y+1/2,z+1/2'
'-y+3/4,-x+3/4,-z+1/4'
'y+3/4,x+3/4,z+1/4'
'-x,y+1/2,-z'
'x,-y+1/2,z'
'y+3/4,x+1/4,-z+3/4'
'-y+3/4,-x+1/4,z+3/4'
loop_
_atom_site_label
_atom_site_type_symbol
_atom_site_fract_x
_atom_site_fract_y
_atom_site_fract_z
_atom_site_occupancy
Ni1 Ni 0.000 0.250 0.375 1
Rh1 Rh 0.000 0.000 0.000 1
O1 O 0.000 0.024 0.757 1
```

[9]
Simulated powder XRD pattern
Compound: Mn15O32
Radiation: copper Kα
Structure: a structure optimized by DFT (PBE+U)
Intensities are scaled so that the largest is 100.

Most intense lines, 10° ≤ 2θ ≤ 90°, in order of falling intensity:
| d [Å] | I/Imax | (hkl) |
| --- | --- | --- |
| 4.758 | 100 | 2 0 0 |
| 2.061 | 51 | 0 0 4 |
| 2.485 | 34 | 2 0 -4 |
| 1.457 | 17 | 4 4 -6 |
| 1.587 | 10 | 2 0 4 |
| 1.395 | 7 | 2 8 0 |

Structural model:
```
data_Mn15O32
_chemical_formula_sum 'Mn30 O64'
_cell_length_a 11.631
_cell_length_b 11.680
_cell_length_c 10.087
_cell_angle_alpha 90.00
_cell_angle_beta 125.18
_cell_angle_gamma 90.00
_space_group_name_H-M_alt 'C 1 2/m 1'
_space_group_IT_number 12
_space_group_name_Hall '-C 2y'
loop_
_atom_site_label
_atom_site_type_symbol
_atom_site_fract_x
_atom_site_fract_y
_atom_site_fract_z
_atom_site_occupancy
Mn1 Mn 0.000 0.000 0.000 1
Mn2 Mn 0.000 0.250 0.500 1
Mn3 Mn 0.245 0.500 0.999 1
Mn4 Mn 0.247 0.376 0.247 1
Mn5 Mn 0.250 0.125 0.249 1
Mn6 Mn 0.250 0.250 0.500 1
O1 O 0.132 0.250 0.735 1
O2 O 0.133 0.000 0.235 1
O3 O 0.133 0.110 0.015 1
O4 O 0.133 0.140 0.515 1
O5 O 0.133 0.360 0.515 1
O6 O 0.144 0.500 0.251 1
O7 O 0.145 0.500 0.764 1
O8 O 0.146 0.250 0.264 1
O9 O 0.146 0.381 0.018 1
O10 O 0.148 0.000 0.765 1
```

Please write out number 1 again, unchanged.
Simulated powder XRD pattern
Compound: Nb4VO12
Radiation: copper Kα
Structure: a structure optimized by DFT (PBE+U)
Intensities are scaled so that the largest is 100.

Most intense lines, 10° ≤ 2θ ≤ 90°, in order of falling intensity:
| d [Å] | I/Imax | (hkl) |
| --- | --- | --- |
| 3.806 | 100 | 1 -1 0 |
| 3.873 | 97 | 0 0 2 |
| 3.825 | 94 | 1 1 0 |
| 2.816 | 85 | 1 1 2 |
| 2.640 | 58 | 1 -1 2 |
| 2.792 | 40 | -1 1 2 |

Structural model:
```
data_Nb4VO12
_chemical_formula_sum 'Nb4 V1 O12'
_cell_length_a 5.183
_cell_length_b 5.660
_cell_length_c 7.776
_cell_angle_alpha 84.92
_cell_angle_beta 89.60
_cell_angle_gamma 89.67
_space_group_name_H-M_alt 'P 1'
_space_group_IT_number 1
_space_group_name_Hall 'P 1'
loop_
_atom_site_label
_atom_site_type_symbol
_atom_site_fract_x
_atom_site_fract_y
_atom_site_fract_z
_atom_site_occupancy
Nb1 Nb 0.000 0.000 0.000 1
Nb2 Nb 0.025 0.020 0.472 1
Nb3 Nb 0.494 0.488 0.001 1
Nb4 Nb 0.526 0.488 0.482 1
V1 V 0.532 0.892 0.701 1
O1 O 0.122 0.018 0.242 1
O2 O 0.204 0.331 0.944 1
O3 O 0.255 0.756 0.559 1
O4 O 0.324 0.856 0.907 1
O5 O 0.349 0.198 0.576 1
O6 O 0.408 0.527 0.254 1
O7 O 0.610 0.564 0.750 1
O8 O 0.713 0.226 0.040 1
O9 O 0.722 0.828 0.467 1
O10 O 0.813 0.730 0.048 1
O11 O 0.842 0.023 0.742 1
O12 O 0.845 0.338 0.449 1
```